[1]
Diffraction record for SrCaSmMnO6. The powder X-ray diffraction pattern is computed, not measured: it uses a GGA+U-relaxed structure and Cu Kα X-rays.

Structural model:
a = 8.2760 Å, b = 8.2760 Å, c = 8.2760 Å
α = 90.00°, β = 90.00°, γ = 90.00°
Space group F-43m (No. 216)
Asymmetric unit:
Sr 0.0000 0.0000 0.0000
Ca 0.0000 0.0000 0.5000
Sm 0.2500 0.2500 0.7500
Mn 0.2500 0.2500 0.2500
O 0.0206 0.2500 0.2500

Peak list (10 most intense, 10 to 90 degrees two-theta, sorted by position)
hkl 1 1 1, 18.57 deg, I = 19; hkl 2 0 0, 21.47 deg, I = 16; hkl 2 2 0, 30.55 deg, I = 100; hkl 3 1 1, 35.99 deg, I = 16; hkl 4 0 0, 43.75 deg, I = 36; hkl 3 3 1, 47.91 deg, I = 9; hkl 4 2 2, 54.30 deg, I = 38; hkl 4 4 0, 63.60 deg, I = 21; hkl 6 2 0, 72.19 deg, I = 17; hkl 6 4 2, 88.39 deg, I = 21



[2]
Diffraction record for Na3MnBPO7. The powder X-ray diffraction pattern is computed, not measured: it uses a GGA+U-relaxed structure and Cu Kα X-rays.

Structural model:
a = 5.2077 Å, b = 7.0215 Å, c = 8.7996 Å
α = 90.00°, β = 92.06°, γ = 90.00°
Space group P2_1/m (No. 11)
Asymmetric unit:
Na 0.2326 0.2500 0.0796
Na 0.2565 0.5081 0.7388
Mn 0.2185 0.7500 0.3389
B 0.2751 0.7500 0.0678
P 0.2768 0.2500 0.4183
O 0.0366 0.7500 0.1385
O 0.1261 0.2500 0.5678
O 0.2140 0.0721 0.3205
O 0.3063 0.7500 0.9174
O 0.4276 0.7500 0.5352
O 0.4748 0.7500 0.1806

Peak list (10 most intense, 10 to 90 degrees two-theta, sorted by position)
hkl 0 0 1, 10.06 deg, I = 94; hkl 0 1 1, 16.15 deg, I = 32; hkl 1 0 1, 20.16 deg, I = 38; hkl 0 2 0, 25.37 deg, I = 100; hkl 1 0 -2, 26.06 deg, I = 27; hkl 1 2 -1, 32.20 deg, I = 57; hkl 1 2 1, 32.62 deg, I = 92; hkl 2 0 0, 34.47 deg, I = 60; hkl 2 0 3, 47.60 deg, I = 31; hkl 0 4 0, 52.10 deg, I = 35



[3]
Diffraction record for Mn2O3F. The powder X-ray diffraction pattern is computed, not measured: it uses a GGA+U-relaxed structure and Cu Kα X-rays.

Structural model:
a = 6.3286 Å, b = 6.6502 Å, c = 12.0733 Å
α = 90.00°, β = 90.00°, γ = 90.00°
Space group Cmcm (No. 63)
Asymmetric unit:
Mn 0.0000 0.0000 0.0000
Mn 0.0000 0.0109 0.2500
Mn 0.0000 0.4795 0.1249
O 0.0000 0.1890 0.1244
O 0.1906 0.5000 0.0000
O 0.1944 0.4872 0.2500
F 0.0000 0.2104 0.6312

Peak list (10 most intense, 10 to 90 degrees two-theta, sorted by position)
hkl 0 2 0, 26.81 deg, I = 90; hkl 2 0 0, 28.20 deg, I = 92; hkl 1 1 4, 35.61 deg, I = 100; hkl 2 2 0, 39.31 deg, I = 15; hkl 0 2 4, 40.36 deg, I = 17; hkl 1 3 4, 53.28 deg, I = 55; hkl 3 1 4, 54.86 deg, I = 53; hkl 0 4 0, 55.25 deg, I = 17; hkl 0 0 8, 61.44 deg, I = 16; hkl 3 3 4, 68.88 deg, I = 48